Structure and theoretical X-ray powder pattern of Na3AgI4 (a cell relaxed with PBE; copper Kα).
No peak broadening, texture or thermal motion is included.

Cell and atoms:
a b c (Å): 7.0161 7.0161 14.0345
angles (deg): 90.00 90.00 90.00
Space group I-42m (No. 121)
Symmetry-distinct sites (fractional):
1 Na 0.0000 0.0000 0.0000 (multiplicity 2)
2 Na 0.0000 0.5000 0.2500 (multiplicity 4)
3 Ag 0.0000 0.0000 0.5000 (multiplicity 2)
4 I 0.2370 0.2370 0.3807 (multiplicity 8)

The 10 most intense peaks (10 to 80 degrees two-theta), most intense first:
(1 1 2), 21.9 deg, intensity 100; (2 0 4), 36.2 deg, intensity 66; (1 1 6), 42.7 deg, intensity 49; (2 2 8), 65.1 deg, intensity 21; (3 1 6), 57.2 deg, intensity 19; (0 0 4), 25.4 deg, intensity 18; (1 1 10), 69.6 deg, intensity 14; (1 0 1), 14.1 deg, intensity 13; (0 0 8), 52.1 deg, intensity 11; (4 0 8), 76.9 deg, intensity 6